Theoretical PXRD pattern
Compound: Sr2GaSb2O7
Radiation: CuKα
Structure: a cell relaxed with GGA-PBE
Neutral-atom scattering factors, no anomalous dispersion.

Top 10 peaks for 5 to 70 degrees two-theta, low angle first:
two_theta	d/Å	I/Imax
16.5	5.362	43
21.1	4.207	47
22.7	3.916	56
24.9	3.575	26
29.6	3.023	64
30.5	2.929	75
32.8	2.731	100
33.0	2.717	94
43.0	2.103	81
55.7	1.650	30

Structure:
a b c (Å): 11.499 11.499 6.046
angles (deg): 104.82 104.82 29.51
Fractional positions:
Sr1 0.151 0.151 0.126
Sr2 0.351 0.347 0.323
Sr3 0.653 0.649 0.677
Sr4 0.849 0.849 0.874
Ga1 0.288 0.212 0.662
Ga2 0.788 0.712 0.338
Sb1 0.069 0.076 0.572
Sb2 0.426 0.429 0.921
Sb3 0.571 0.574 0.079
Sb4 0.924 0.931 0.428
O1 0.108 0.392 0.401
O2 0.146 0.668 0.647
O3 0.154 0.196 0.734
O4 0.166 0.677 0.182
O5 0.309 0.342 0.881
O6 0.323 0.834 0.818
O7 0.332 0.854 0.353
O8 0.608 0.892 0.599
O9 0.658 0.691 0.119
O10 0.661 0.155 0.650
O11 0.676 0.169 0.173
O12 0.804 0.846 0.266
O13 0.831 0.324 0.827
O14 0.845 0.339 0.350